Structure and computed powder diffractogram of Ti2V2O7 (a crystal structure in Alexandria, relaxed with GGA+U; CuKα).
Peak positions follow from Bragg's law for the DFT cell and can differ from measured ones.

Peak list (6 most intense, 15 to 90 degrees two-theta, sorted by position)
23.29 deg, I 244, hkl 1 -1 0
26.39 deg, I 1000, hkl 1 1 0
29.03 deg, I 527, hkl -1 1 1
29.40 deg, I 392, hkl 1 -1 1
42.93 deg, I 337, hkl 1 -1 2
51.05 deg, I 235, hkl 2 2 -1

Structural model:
Lattice parameters (Å, degrees): 5.1415 5.3316 5.4000 102.78 103.28 93.74
Space group P-1 (No. 2)
Unique sites:
Ti1 0.0114 0.1187 0.2693 x2
V1 0.4500 0.6918 0.3040 x2
O1 0.1532 0.8453 0.0674 x2
O2 0.2464 0.4095 0.4168 x2
O3 0.2656 0.9676 0.5770 x2
O4 0.5000 0.5000 0.0000 x1